Diffraction record for Ca2PuGe2Rh5. The X-ray powder pattern is calculated, not measured: it uses DFT lattice parameters and positions (PBE) and Cu Kα (weighted mean of Kα1 and Kα2).

Structure:
```
20
Lattice="9.9633 0.0000 0.0000 0.0000 9.9633 0.0000 0.0000 0.0000 3.6427" Properties=species:S:1:pos:R:3 pbc="T T T"
Ca 1.7107 3.2710 0.0000
Ca 3.2710 8.2526 0.0000
Ca 6.6923 1.7107 0.0000
Ca 8.2526 6.6923 0.0000
Pu 0.0000 0.0000 0.0000
Pu 4.9817 4.9817 0.0000
Ge 1.2426 6.2242 0.0000
Ge 3.7391 1.2426 0.0000
Ge 6.2242 8.7207 0.0000
Ge 8.7207 3.7391 0.0000
Rh 0.0000 4.9817 1.8213
Rh 0.6948 7.8698 1.8213
Rh 2.0935 0.6948 1.8213
Rh 2.8881 5.6765 1.8213
Rh 4.2868 2.8881 1.8213
Rh 4.9817 0.0000 1.8213
Rh 5.6765 7.0752 1.8213
Rh 7.0752 4.2868 1.8213
Rh 7.8698 9.2685 1.8213
Rh 9.2685 2.0935 1.8213
```

The 6 most intense peaks (10° ≤ 2θ ≤ 90°), most intense first:
- (3 1 1), 37.75°, rel. 100.0
- (2 0 0), 17.80°, rel. 28.3
- (2 2 1), 35.45°, rel. 27.8
- (4 2 0), 40.49°, rel. 27.0
- (3 2 1), 41.00°, rel. 26.4
- (2 1 0), 19.93°, rel. 19.5